Theoretical XRD peak list of Ho3Cu2Rh7 for Cu Kα (λ = 1.5418 Å), from DFT lattice parameters and positions (PBE).
Peak positions follow from Bragg's law for the DFT cell and can differ from measured ones.

Main lines, low angle first (10° ≤ 2θ ≤ 80°):
- 2θ = 31.48°, d = 2.842 Å, I 37
- 2θ = 33.90°, d = 2.644 Å, I 34
- 2θ = 34.40°, d = 2.607 Å, I 38
- 2θ = 39.51°, d = 2.281 Å, I 46
- 2θ = 40.01°, d = 2.254 Å, I 17
- 2θ = 40.23°, d = 2.242 Å, I 100
- 2θ = 42.78°, d = 2.114 Å, I 18
- 2θ = 43.35°, d = 2.087 Å, I 27
- 2θ = 64.94°, d = 1.436 Å, I 24
- 2θ = 71.34°, d = 1.322 Å, I 26

abc: 8.990 8.990 8.990
angles: 34.21 34.21 34.21
Sites, in units of the cell vectors:
Ho (0.000, 0.000, 0.000)
Ho (0.140, 0.140, 0.140)
Ho (0.860, 0.860, 0.860)
Cu (0.334, 0.334, 0.334)
Cu (0.666, 0.666, 0.666)
Rh (0.079, 0.584, 0.584)
Rh (0.416, 0.416, 0.921)
Rh (0.416, 0.921, 0.416)
Rh (0.500, 0.500, 0.500)
Rh (0.584, 0.079, 0.584)
Rh (0.584, 0.584, 0.079)
Rh (0.921, 0.416, 0.416)